Diffraction record for Nd4GeSe3. The X-ray powder pattern is computed, not measured: it uses DFT lattice parameters and positions (PBE) and CuKα.
Lines closer than 0.1° are merged.

Peak list (8 most intense, 15 to 90 degrees two-theta, by angle)
index	Position (°2θ)	I (rel.)
1 1 1	25.7	16.5
2 0 0	29.7	100.0
2 2 0	42.6	74.9
3 1 1	50.4	8.2
2 2 2	52.8	26.5
4 0 0	61.8	12.3
4 2 0	70.1	33.8
4 2 2	77.9	25.2

Structure:
a = 6.0068 Å, b = 6.0068 Å, c = 6.0068 Å
α = 90.00°, β = 90.00°, γ = 90.00°
Space group Pm-3m (No. 221)
Symmetry-distinct sites (fractional):
1 Nd 0.0000 0.0000 0.0000
2 Nd 0.0000 0.5000 0.5000
3 Ge 0.5000 0.5000 0.5000
4 Se 0.0000 0.0000 0.5000